UGeO4: theoretical powder XRD pattern (a wavelength of 1.5418 Å), based on a cell relaxed with PBE.

The 8 most intense peaks (10 to 80 degrees two-theta), low angle first:
19.01 deg, rel. 317; 29.32 deg, rel. 1000; 32.04 deg, rel. 161; 34.92 deg, rel. 228; 48.11 deg, rel. 296; 55.44 deg, rel. 175; 59.21 deg, rel. 290; 60.80 deg, rel. 146

Atomic structure:
abc: 6.6652 6.6652 6.6652
angles: 134.65 134.65 66.08
Fractional coordinates of all 12 atoms:
U (0.3750, 0.1250, 0.2500)
U (0.6250, 0.8750, 0.7500)
Ge (0.1250, 0.3750, 0.7500)
Ge (0.8750, 0.6250, 0.2500)
O (0.0481, 0.1993, 0.3349)
O (0.2133, 0.5481, 0.3488)
O (0.3007, 0.1356, 0.8488)
O (0.3644, 0.7133, 0.1651)
O (0.6356, 0.2867, 0.8349)
O (0.6993, 0.8644, 0.1512)
O (0.7867, 0.4519, 0.6512)
O (0.9519, 0.8007, 0.6651)